This entry pairs a crystal structure of NdPuSe2Cl with its calculated XRD peak list. Radiation: Cu Kα (weighted mean of Kα1 and Kα2). Structure: a DFT-relaxed cell (PBE, Alexandria).
Peak positions follow from Bragg's law for the DFT cell and can differ from measured ones.

Largest 6 diffraction maxima, sorted by position, 2θ from 10° to 80°:
2θ 24.37, I = 73, (1 0 2)
2θ 24.96, I = 41, (0 0 4)
2θ 29.72, I = 100, (1 1 0)
2θ 39.19, I = 72, (1 1 4)
2θ 42.53, I = 49, (2 0 0)
2θ 62.53, I = 31, (1 0 9)

Atomic structure:
```
data_NdPuSe2Cl
_cell_length_a 4.251
_cell_length_b 4.251
_cell_length_c 14.270
_cell_angle_alpha 90.00
_cell_angle_beta 90.00
_cell_angle_gamma 90.00
_space_group_name_H-M_alt 'P 4/n m m'
_space_group_IT_number 129
loop_
_space_group_symop_operation_xyz
'x,y,z'
'-x,-y,-z'
'-y+1/2,x,z'
'y+1/2,-x,-z'
'-x+1/2,-y+1/2,z'
'x+1/2,y+1/2,-z'
'y,-x+1/2,z'
'-y,x+1/2,-z'
'x+1/2,-y,-z'
'-x+1/2,y,z'
'-y,-x,-z'
'y,x,z'
'-x,y+1/2,-z'
'x,-y+1/2,z'
'y+1/2,x+1/2,-z'
'-y+1/2,-x+1/2,z'
loop_
_atom_site_label
_atom_site_type_symbol
_atom_site_fract_x
_atom_site_fract_y
_atom_site_fract_z
Nd1 Nd 0.250 0.250 0.103
Pu1 Pu 0.250 0.250 0.641
Se1 Se 0.250 0.250 0.305
Se2 Se 0.250 0.250 0.887
Cl1 Cl 0.250 0.750 0.500
```

***

This entry pairs a crystal structure of RbNdCl4 with its calculated XRD peak list. Radiation: Cu Kα (weighted mean of Kα1 and Kα2). Structure: a DFT-relaxed cell (PBE, Alexandria).
Peak positions follow from Bragg's law for the DFT cell and can differ from measured ones.

Largest 6 diffraction maxima, sorted by position, 2θ from 10° to 80°:
2θ 21.32, I = 83, (1 0 4)
2θ 23.79, I = 68, (1 1 1)
2θ 24.42, I = 37, (0 1 3)
2θ 33.78, I = 100, (2 1 3)
2θ 39.40, I = 44, (3 0 4)
2θ 39.72, I = 58, (1 1 7)

Atomic structure:
```
data_RbNdCl4
_cell_length_a 7.740
_cell_length_b 4.375
_cell_length_c 19.777
_cell_angle_alpha 90.00
_cell_angle_beta 90.00
_cell_angle_gamma 90.00
_space_group_name_H-M_alt 'P n m a'
_space_group_IT_number 62
loop_
_space_group_symop_operation_xyz
'x,y,z'
'-x,-y,-z'
'-x+1/2,-y,z+1/2'
'x+1/2,y,-z+1/2'
'x+1/2,-y+1/2,-z+1/2'
'-x+1/2,y+1/2,z+1/2'
'-x,y+1/2,-z'
'x,-y+1/2,z'
loop_
_atom_site_label
_atom_site_type_symbol
_atom_site_fract_x
_atom_site_fract_y
_atom_site_fract_z
Rb1 Rb 0.220 0.250 0.204
Nd1 Nd 0.250 0.250 0.942
Cl1 Cl 0.008 0.250 0.060
Cl2 Cl 0.096 0.250 0.810
Cl3 Cl 0.099 0.250 0.368
Cl4 Cl 0.141 0.250 0.536
```

***

This entry pairs a crystal structure of Rb2NdSe2Cl2 with its calculated XRD peak list. Radiation: Cu Kα (weighted mean of Kα1 and Kα2). Structure: a DFT-relaxed cell (PBE, Alexandria).
Peak positions follow from Bragg's law for the DFT cell and can differ from measured ones.

Largest 6 diffraction maxima, sorted by position, 2θ from 10° to 80°:
2θ 10.41, I = 86, (0 0 2)
2θ 22.09, I = 100, (1 1 0)
2θ 30.59, I = 48, (1 1 4)
2θ 31.37, I = 79, (2 0 0)
2θ 38.72, I = 32, (2 1 3)
2θ 45.12, I = 45, (2 0 6)

Atomic structure:
```
data_Rb2NdSe2Cl2
_cell_length_a 5.703
_cell_length_b 5.703
_cell_length_c 16.996
_cell_angle_alpha 90.00
_cell_angle_beta 90.00
_cell_angle_gamma 90.00
_space_group_name_H-M_alt 'I 4/m m m'
_space_group_IT_number 139
_space_group_name_Hall '-I 4 2'
loop_
_atom_site_label
_atom_site_type_symbol
_atom_site_fract_x
_atom_site_fract_y
_atom_site_fract_z
Rb1 Rb 0.000 0.000 0.145
Nd1 Nd 0.000 0.000 0.500
Se1 Se 0.000 0.500 0.000
Cl1 Cl 0.000 0.000 0.335
```

***

This entry pairs a crystal structure of Nd3TeRhCl with its calculated XRD peak list. Radiation: Cu Kα (weighted mean of Kα1 and Kα2). Structure: a DFT-relaxed cell (PBE, Alexandria).
Peak positions follow from Bragg's law for the DFT cell and can differ from measured ones.

Largest 6 diffraction maxima, sorted by position, 2θ from 10° to 80°:
2θ 27.07, I = 33, (0 0 3)
2θ 29.12, I = 100, (2 1 0)
2θ 39.01, I = 19, (2 1 -3)
2θ 40.08, I = 14, (4 0 0)
2θ 41.30, I = 24, (2 1 3)
2θ 43.16, I = 18, (0 2 0)

Atomic structure:
```
data_Nd3TeRhCl
_cell_length_a 9.029
_cell_length_b 4.192
_cell_length_c 9.913
_cell_angle_alpha 90.00
_cell_angle_beta 94.60
_cell_angle_gamma 90.00
_space_group_name_H-M_alt 'P 1 21/m 1'
_space_group_IT_number 11
loop_
_space_group_symop_operation_xyz
'x,y,z'
'-x,-y,-z'
'-x,y+1/2,-z'
'x,-y+1/2,z'
loop_
_atom_site_label
_atom_site_type_symbol
_atom_site_fract_x
_atom_site_fract_y
_atom_site_fract_z
Nd1 Nd 0.100 0.250 0.352
Nd2 Nd 0.162 0.250 0.926
Nd3 Nd 0.345 0.750 0.639
Te1 Te 0.377 0.750 0.318
Rh1 Rh 0.122 0.250 0.646
Cl1 Cl 0.368 0.750 0.930
```